Diffraction record for Li5Cd4Rh. The powder XRD pattern is calculated, not measured: it uses a structure optimized by DFT (PBE) and a wavelength of 1.5418 Å.

```
data_Li5Cd4Rh
_cell_length_a 14.5555
_cell_length_b 4.1798
_cell_length_c 7.0656
_cell_angle_alpha 90.00
_cell_angle_beta 114.14
_cell_angle_gamma 90.00
_space_group_name_H-M_alt 'C 1 2/m 1'
_space_group_IT_number 12
loop_
_space_group_symop_operation_xyz
'x,y,z'
'-x,-y,-z'
'-x,y,-z'
'x,-y,z'
'x+1/2,y+1/2,z'
'-x+1/2,-y+1/2,-z'
'-x+1/2,y+1/2,-z'
'x+1/2,-y+1/2,z'
loop_
_atom_site_label
_atom_site_type_symbol
_atom_site_fract_x
_atom_site_fract_y
_atom_site_fract_z
Li1 Li 0.0000 0.0000 0.0000
Li2 Li 0.1438 0.5000 0.6520
Li3 Li 0.1917 0.5000 0.1224
Cd1 Cd 0.0081 0.5000 0.2371
Cd2 Cd 0.1714 0.0000 0.4082
Rh1 Rh 0.0000 0.0000 0.5000
```

Peak list (12 most intense, 2θ from 10° to 90°, sorted by position)
2θ/deg, d (Å), I (rel.), hkl
13.33, 6.642, 59.2, 2 0 0
13.73, 6.448, 100.0, 0 0 1
14.72, 6.016, 23.2, 2 0 -1
25.30, 3.520, 33.0, 2 0 -2
27.71, 3.219, 48.9, 1 1 1
29.39, 3.039, 47.0, 3 1 0
37.66, 2.389, 37.6, 5 1 -1
37.99, 2.369, 75.7, 1 1 2
39.55, 2.279, 18.8, 4 0 -3
40.30, 2.238, 57.1, 5 1 -2
40.76, 2.214, 29.0, 6 0 0
43.29, 2.090, 26.2, 0 2 0

Diffraction record for MgSc3C. The powder XRD pattern is calculated, not measured: it uses a structure optimized by DFT (PBE) and a wavelength of 1.5418 Å.

```
data_MgSc3C
_cell_length_a 3.3121
_cell_length_b 4.5921
_cell_length_c 6.6171
_cell_angle_alpha 90.00
_cell_angle_beta 90.00
_cell_angle_gamma 90.00
_space_group_name_H-M_alt 'P m m m'
_space_group_IT_number 47
loop_
_space_group_symop_operation_xyz
'x,y,z'
'-x,-y,-z'
'-x,-y,z'
'x,y,-z'
'x,-y,-z'
'-x,y,z'
'-x,y,-z'
'x,-y,z'
loop_
_atom_site_label
_atom_site_type_symbol
_atom_site_fract_x
_atom_site_fract_y
_atom_site_fract_z
Mg1 Mg 0.0000 0.0000 0.0000
Sc1 Sc 0.0000 0.0000 0.5000
Sc2 Sc 0.5000 0.5000 0.2653
C1 C 0.0000 0.5000 0.5000
```

Peak list (12 most intense, 2θ from 10° to 90°, sorted by position)
2θ/deg, d (Å), I (rel.), hkl
13.38, 6.617, 19.2, 0 0 1
19.33, 4.592, 4.8, 0 1 0
33.37, 2.685, 100.0, 1 1 0
38.46, 2.341, 42.6, 1 0 2
39.24, 2.296, 20.4, 0 2 0
49.66, 1.836, 1.9, 1 0 3
55.52, 1.655, 12.8, 2 0 0
56.11, 1.639, 25.2, 1 2 2
66.34, 1.409, 22.6, 2 1 2
67.40, 1.389, 11.2, 1 3 0
70.08, 1.343, 11.8, 2 2 0
82.40, 1.170, 3.5, 2 0 4